Entry 1:
Computed PXRD pattern of NdEr3 for Cu Kα X-rays, from a cell relaxed with PBE.
No peak broadening, texture or thermal motion is included.

Structure:
```
data_NdEr3
_cell_length_a 5.020
_cell_length_b 5.020
_cell_length_c 5.020
_cell_angle_alpha 90.00
_cell_angle_beta 90.00
_cell_angle_gamma 90.00
_space_group_name_H-M_alt 'P m -3 m'
_space_group_IT_number 221
_space_group_name_Hall '-P 4 2 3'
loop_
_atom_site_label
_atom_site_fract_x
_atom_site_fract_y
_atom_site_fract_z
_atom_site_occupancy
Nd1 0.000 0.000 0.000 1
Er1 0.000 0.500 0.500 1
```

Most intense lines, 2θ = 15–90°, by angle:
30.9 deg, d = 2.898 Å, I = 100, (1 1 1)
35.8 deg, d = 2.510 Å, I = 51, (2 0 0)
51.5 deg, d = 1.775 Å, I = 36, (2 2 0)
61.2 deg, d = 1.513 Å, I = 43, (3 1 1)
64.3 deg, d = 1.449 Å, I = 12, (2 2 2)
75.8 deg, d = 1.255 Å, I = 6, (4 0 0)
84.0 deg, d = 1.152 Å, I = 18, (3 3 1)
86.8 deg, d = 1.122 Å, I = 17, (4 2 0)

***

Entry 2:
Computed PXRD pattern of SmZn3Ag for Cu Kα X-rays, from a cell relaxed with PBE.
No peak broadening, texture or thermal motion is included.

Structure:
```
data_SmZn3Ag
_cell_length_a 7.914
_cell_length_b 6.287
_cell_length_c 4.801
_cell_angle_alpha 90.00
_cell_angle_beta 127.23
_cell_angle_gamma 90.00
_space_group_name_H-M_alt 'C 1 m 1'
_space_group_IT_number 8
loop_
_space_group_symop_operation_xyz
'x,y,z'
'x,-y,z'
'x+1/2,y+1/2,z'
'x+1/2,-y+1/2,z'
loop_
_atom_site_label
_atom_site_fract_x
_atom_site_fract_y
_atom_site_fract_z
_atom_site_occupancy
Sm1 0.000 0.000 0.000 1
Zn1 0.290 0.000 0.789 1
Zn2 0.499 0.195 0.499 1
Ag1 0.193 0.500 0.194 1
```

Most intense lines, 2θ = 15–90°, by angle:
28.4 deg, d = 3.146 Å, I = 16, (0 2 0)
37.0 deg, d = 2.428 Å, I = 100, (1 1 1)
37.5 deg, d = 2.401 Å, I = 25, (2 0 -2)
45.6 deg, d = 1.991 Å, I = 14, (3 1 0)
60.4 deg, d = 1.531 Å, I = 8, (5 1 -2)
62.6 deg, d = 1.484 Å, I = 8, (3 3 0)
67.3 deg, d = 1.392 Å, I = 8, (1 1 -3)
67.3 deg, d = 1.390 Å, I = 8, (5 1 -3)

***

Entry 3:
Computed PXRD pattern of Bi2Rh for Cu Kα X-rays, from a cell relaxed with PBE.
No peak broadening, texture or thermal motion is included.

Structure:
```
data_Bi2Rh
_cell_length_a 7.013
_cell_length_b 6.904
_cell_length_c 7.060
_cell_angle_alpha 90.00
_cell_angle_beta 117.27
_cell_angle_gamma 90.00
_space_group_name_H-M_alt 'P 1 21/c 1'
_space_group_IT_number 14
loop_
_space_group_symop_operation_xyz
'x,y,z'
'-x,-y,-z'
'-x,y+1/2,-z+1/2'
'x,-y+1/2,z+1/2'
loop_
_atom_site_label
_atom_site_fract_x
_atom_site_fract_y
_atom_site_fract_z
_atom_site_occupancy
Bi1 0.145 0.142 0.373 1
Bi2 0.347 0.641 0.673 1
Rh1 0.272 0.001 0.787 1
```

Most intense lines, 2θ = 15–90°, by angle:
27.6 deg, d = 3.235 Å, I = 21, (1 1 1)
28.4 deg, d = 3.138 Å, I = 26, (0 0 2)
29.9 deg, d = 2.993 Å, I = 100, (1 2 -1)
31.3 deg, d = 2.856 Å, I = 53, (0 1 2)
31.5 deg, d = 2.841 Å, I = 57, (2 1 0)
40.9 deg, d = 2.209 Å, I = 23, (1 1 -3)
41.1 deg, d = 2.194 Å, I = 29, (3 1 -1)
46.6 deg, d = 1.949 Å, I = 45, (1 3 1)

***

Entry 4:
Computed PXRD pattern of La7CoPt4 for Cu Kα X-rays, from a cell relaxed with PBE.
No peak broadening, texture or thermal motion is included.

Structure:
```
data_La7CoPt4
_cell_length_a 13.866
_cell_length_b 4.124
_cell_length_c 12.578
_cell_angle_alpha 90.00
_cell_angle_beta 105.11
_cell_angle_gamma 90.00
_space_group_name_H-M_alt 'C 1 m 1'
_space_group_IT_number 8
loop_
_space_group_symop_operation_xyz
'x,y,z'
'x,-y,z'
'x+1/2,y+1/2,z'
'x+1/2,-y+1/2,z'
loop_
_atom_site_label
_atom_site_fract_x
_atom_site_fract_y
_atom_site_fract_z
_atom_site_occupancy
La1 0.000 0.000 0.000 1
La2 0.024 0.500 0.272 1
La3 0.096 0.500 0.580 1
La4 0.214 0.000 0.852 1
La5 0.249 0.500 0.141 1
La6 0.289 0.000 0.409 1
La7 0.408 0.500 0.684 1
Co1 0.141 0.000 0.207 1
Pt1 0.057 0.500 0.817 1
Pt2 0.252 0.000 0.632 1
Pt3 0.370 0.000 0.062 1
Pt4 0.449 0.500 0.446 1
```

Most intense lines, 2θ = 15–90°, by angle:
22.5 deg, d = 3.947 Å, I = 57, (2 0 -3)
29.0 deg, d = 3.084 Å, I = 80, (2 0 -4)
29.1 deg, d = 3.069 Å, I = 77, (3 1 -1)
29.5 deg, d = 3.029 Å, I = 85, (3 1 0)
30.6 deg, d = 2.925 Å, I = 100, (3 1 -2)
31.7 deg, d = 2.824 Å, I = 98, (3 1 1)
38.8 deg, d = 2.320 Å, I = 62, (1 1 4)
43.9 deg, d = 2.062 Å, I = 71, (0 2 0)

***

Entry 5:
Computed PXRD pattern of SrAlGaCu for Cu Kα X-rays, from a cell relaxed with PBE.
No peak broadening, texture or thermal motion is included.

Structure:
```
data_SrAlGaCu
_cell_length_a 7.438
_cell_length_b 4.285
_cell_length_c 6.215
_cell_angle_alpha 90.00
_cell_angle_beta 113.59
_cell_angle_gamma 90.00
_space_group_name_H-M_alt 'C 1 m 1'
_space_group_IT_number 8
loop_
_space_group_symop_operation_xyz
'x,y,z'
'x,-y,z'
'x+1/2,y+1/2,z'
'x+1/2,-y+1/2,z'
loop_
_atom_site_label
_atom_site_fract_x
_atom_site_fract_y
_atom_site_fract_z
_atom_site_occupancy
Sr1 0.000 0.000 0.000 1
Al1 0.026 0.500 0.576 1
Ga1 0.295 0.500 0.384 1
Cu1 0.190 0.000 0.566 1
```

Most intense lines, 2θ = 15–90°, by angle:
15.6 deg, d = 5.695 Å, I = 18, (0 0 1)
24.5 deg, d = 3.630 Å, I = 67, (2 0 -1)
31.4 deg, d = 2.848 Å, I = 26, (0 0 2)
31.9 deg, d = 2.803 Å, I = 62, (1 1 1)
35.7 deg, d = 2.515 Å, I = 100, (2 0 1)
42.1 deg, d = 2.145 Å, I = 90, (0 2 0)
53.5 deg, d = 1.713 Å, I = 33, (3 1 -3)
59.6 deg, d = 1.552 Å, I = 22, (1 1 3)

***

Entry 6:
Computed PXRD pattern of La4Pr4Al for Cu Kα X-rays, from a cell relaxed with PBE.
No peak broadening, texture or thermal motion is included.

Structure:
```
data_La4Pr4Al
_cell_length_a 6.467
_cell_length_b 8.654
_cell_length_c 11.456
_cell_angle_alpha 90.00
_cell_angle_beta 90.00
_cell_angle_gamma 90.00
_space_group_name_H-M_alt 'I 2 2 2'
_space_group_IT_number 23
loop_
_space_group_symop_operation_xyz
'x,y,z'
'-x,-y,z'
'x,-y,-z'
'-x,y,-z'
'x+1/2,y+1/2,z+1/2'
'-x+1/2,-y+1/2,z+1/2'
'x+1/2,-y+1/2,-z+1/2'
'-x+1/2,y+1/2,-z+1/2'
loop_
_atom_site_label
_atom_site_fract_x
_atom_site_fract_y
_atom_site_fract_z
_atom_site_occupancy
La1 0.000 0.000 0.000 1
La2 0.000 0.167 0.500 1
La3 0.000 0.500 0.000 1
Pr1 0.223 0.362 0.742 1
Al1 0.000 0.500 0.500 1
```

Most intense lines, 2θ = 15–90°, by angle:
26.0 deg, d = 3.431 Å, I = 100, (1 2 1)
31.2 deg, d = 2.864 Å, I = 44, (0 0 4)
31.8 deg, d = 2.816 Å, I = 81, (2 0 2)
34.2 deg, d = 2.618 Å, I = 48, (1 2 3)
37.6 deg, d = 2.393 Å, I = 13, (1 3 2)
47.0 deg, d = 1.932 Å, I = 19, (1 2 5)
47.8 deg, d = 1.903 Å, I = 16, (3 2 1)
55.9 deg, d = 1.644 Å, I = 15, (2 0 6)

***

Entry 7:
Computed PXRD pattern of Th4TeSe6 for Cu Kα X-rays, from a cell relaxed with PBE.
No peak broadening, texture or thermal motion is included.

Structure:
```
data_Th4TeSe6
_cell_length_a 9.0029
_cell_length_b 9.0029
_cell_length_c 4.1837
_cell_angle_alpha 90.00
_cell_angle_beta 90.00
_cell_angle_gamma 120.00
_space_group_name_H-M_alt 'P -6 m 2'
_space_group_IT_number 187
_space_group_name_Hall 'P -6 2'
loop_
_atom_site_label
_atom_site_fract_x
_atom_site_fract_y
_atom_site_fract_z
_atom_site_occupancy
Th1 0.0000 0.0000 0.0000 1
Th2 0.5134 0.0268 0.5000 1
Te1 0.3333 0.6667 0.0000 1
Se1 0.1366 0.2733 0.5000 1
Se2 0.4094 0.2047 0.0000 1
```

Most intense lines, 2θ = 15–90°, by angle:
22.8 deg, d = 3.898 Å, I = 92, (2 0 0)
29.1 deg, d = 3.065 Å, I = 89, (1 1 1)
31.4 deg, d = 2.852 Å, I = 100, (2 0 1)
37.3 deg, d = 2.409 Å, I = 98, (2 1 1)
40.1 deg, d = 2.251 Å, I = 86, (2 2 0)
40.9 deg, d = 2.208 Å, I = 44, (3 0 1)
43.3 deg, d = 2.092 Å, I = 35, (0 0 2)
60.4 deg, d = 1.532 Å, I = 52, (2 2 2)

***

Entry 8:
Computed PXRD pattern of Cd2GaAsO6 for Cu Kα X-rays, from a cell relaxed with PBE.
No peak broadening, texture or thermal motion is included.

Structure:
```
data_Cd2GaAsO6
_cell_length_a 5.063
_cell_length_b 5.063
_cell_length_c 4.923
_cell_angle_alpha 90.00
_cell_angle_beta 90.00
_cell_angle_gamma 90.00
_space_group_name_H-M_alt 'P 4 m m'
_space_group_IT_number 99
loop_
_space_group_symop_operation_xyz
'x,y,z'
'-y,x,z'
'-x,-y,z'
'y,-x,z'
'-x,y,z'
'y,x,z'
'x,-y,z'
'-y,-x,z'
loop_
_atom_site_label
_atom_site_fract_x
_atom_site_fract_y
_atom_site_fract_z
_atom_site_occupancy
Cd1 0.000 0.500 0.000 1
Ga1 0.000 0.000 0.536 1
As1 0.500 0.500 0.568 1
O1 0.000 0.000 0.163 1
O2 0.258 0.258 0.683 1
O3 0.500 0.500 0.214 1
```

Most intense lines, 2θ = 15–90°, by angle:
30.9 deg, d = 2.895 Å, I = 100, (1 1 1)
35.5 deg, d = 2.531 Å, I = 32, (2 0 0)
36.5 deg, d = 2.462 Å, I = 13, (0 0 2)
51.0 deg, d = 1.790 Å, I = 20, (2 2 0)
51.8 deg, d = 1.765 Å, I = 24, (2 0 2)
60.8 deg, d = 1.522 Å, I = 28, (3 1 1)
62.2 deg, d = 1.492 Å, I = 12, (1 1 3)
84.6 deg, d = 1.146 Å, I = 10, (3 1 3)

***

Entry 9:
Computed PXRD pattern of Na2ThI2O2 for Cu Kα X-rays, from a cell relaxed with PBE.
No peak broadening, texture or thermal motion is included.

Structure:
```
data_Na2ThI2O2
_cell_length_a 4.491
_cell_length_b 4.491
_cell_length_c 20.012
_cell_angle_alpha 90.00
_cell_angle_beta 90.00
_cell_angle_gamma 90.00
_space_group_name_H-M_alt 'I 4/m m m'
_space_group_IT_number 139
_space_group_name_Hall '-I 4 2'
loop_
_atom_site_label
_atom_site_fract_x
_atom_site_fract_y
_atom_site_fract_z
_atom_site_occupancy
Na1 0.000 0.000 0.098 1
Th1 0.000 0.000 0.500 1
I1 0.000 0.000 0.339 1
O1 0.000 0.500 0.000 1
```

Most intense lines, 2θ = 15–90°, by angle:
20.3 deg, d = 4.382 Å, I = 100, (1 0 1)
26.7 deg, d = 3.335 Å, I = 28, (0 0 6)
28.1 deg, d = 3.176 Å, I = 54, (1 1 0)
29.9 deg, d = 2.988 Å, I = 50, (1 0 5)
37.3 deg, d = 2.412 Å, I = 37, (1 0 7)
39.2 deg, d = 2.300 Å, I = 29, (1 1 6)
40.2 deg, d = 2.246 Å, I = 27, (2 0 0)
45.4 deg, d = 1.999 Å, I = 25, (2 1 1)

***

Entry 10:
Computed PXRD pattern of Cs2RbTl12In3 for Cu Kα X-rays, from a cell relaxed with PBE.
No peak broadening, texture or thermal motion is included.

Structure:
```
data_Cs2RbTl12In3
_cell_length_a 8.6599
_cell_length_b 8.6599
_cell_length_c 34.2986
_cell_angle_alpha 90.00
_cell_angle_beta 90.00
_cell_angle_gamma 120.00
_space_group_name_H-M_alt 'R -3 m'
_space_group_IT_number 166
_space_group_name_Hall '-R 3 2"'
loop_
_atom_site_label
_atom_site_fract_x
_atom_site_fract_y
_atom_site_fract_z
_atom_site_occupancy
Cs1 0.0000 0.0000 0.1424 1
Rb1 0.0000 0.0000 0.5000 1
Tl1 0.0573 0.5287 0.9083 1
Tl2 0.0809 0.5405 0.6251 1
In1 0.0000 0.5000 0.0000 1
```

Most intense lines, 2θ = 15–90°, by angle:
15.7 deg, d = 5.645 Å, I = 63, (1 0 4)
25.9 deg, d = 3.436 Å, I = 92, (0 2 4)
28.6 deg, d = 3.119 Å, I = 49, (1 0 10)
31.1 deg, d = 2.879 Å, I = 63, (0 1 11)
31.7 deg, d = 2.824 Å, I = 98, (2 0 8)
36.6 deg, d = 2.454 Å, I = 67, (2 1 7)
36.8 deg, d = 2.442 Å, I = 100, (0 3 3)
37.5 deg, d = 2.397 Å, I = 52, (2 0 11)

***

Entry 11:
Computed PXRD pattern of PmUB for Cu Kα X-rays, from a cell relaxed with PBE.
No peak broadening, texture or thermal motion is included.

Structure:
```
data_PmUB
_cell_length_a 3.276
_cell_length_b 4.920
_cell_length_c 15.452
_cell_angle_alpha 90.00
_cell_angle_beta 90.00
_cell_angle_gamma 90.00
_space_group_name_H-M_alt 'I m m m'
_space_group_IT_number 71
_space_group_name_Hall '-I 2 2'
loop_
_atom_site_label
_atom_site_fract_x
_atom_site_fract_y
_atom_site_fract_z
_atom_site_occupancy
Pm1 0.000 0.000 0.179 1
U1 0.000 0.251 0.500 1
B1 0.000 0.000 0.359 1
```

Most intense lines, 2θ = 15–90°, by angle:
23.0 deg, d = 3.863 Å, I = 31, (0 0 4)
27.8 deg, d = 3.205 Å, I = 32, (1 0 1)
32.4 deg, d = 2.764 Å, I = 100, (1 0 3)
34.8 deg, d = 2.575 Å, I = 53, (0 0 6)
38.4 deg, d = 2.344 Å, I = 50, (0 2 2)
46.5 deg, d = 1.951 Å, I = 46, (1 2 1)
55.4 deg, d = 1.659 Å, I = 41, (1 2 5)
61.0 deg, d = 1.520 Å, I = 31, (0 2 8)

***

Entry 12:
Computed PXRD pattern of AcPd4Pt for Cu Kα X-rays, from a cell relaxed with PBE.
No peak broadening, texture or thermal motion is included.

Structure:
```
data_AcPd4Pt
_cell_length_a 7.746
_cell_length_b 4.263
_cell_length_c 7.097
_cell_angle_alpha 90.00
_cell_angle_beta 90.00
_cell_angle_gamma 90.00
_space_group_name_H-M_alt 'P m m a'
_space_group_IT_number 51
loop_
_space_group_symop_operation_xyz
'x,y,z'
'-x,-y,-z'
'-x+1/2,-y,z'
'x+1/2,y,-z'
'x+1/2,-y,-z'
'-x+1/2,y,z'
'-x,y,-z'
'x,-y,z'
loop_
_atom_site_label
_atom_site_fract_x
_atom_site_fract_y
_atom_site_fract_z
_atom_site_occupancy
Ac1 0.250 0.000 0.155 1
Pd1 0.000 0.000 0.500 1
Pd2 0.041 0.500 0.799 1
Pd3 0.250 0.500 0.473 1
Pt1 0.250 0.000 0.751 1
```

Most intense lines, 2θ = 15–90°, by angle:
31.2 deg, d = 2.867 Å, I = 37, (2 1 0)
33.7 deg, d = 2.658 Å, I = 65, (2 1 1)
34.9 deg, d = 2.572 Å, I = 28, (1 1 2)
38.0 deg, d = 2.366 Å, I = 26, (0 0 3)
40.5 deg, d = 2.230 Å, I = 100, (2 1 2)
42.4 deg, d = 2.131 Å, I = 39, (0 2 0)
46.9 deg, d = 1.937 Å, I = 22, (4 0 0)
65.1 deg, d = 1.433 Å, I = 17, (4 2 0)

***

Entry 13:
Computed PXRD pattern of Cr2Co5Mo for Cu Kα X-rays, from a cell relaxed with PBE.
No peak broadening, texture or thermal motion is included.

Structure:
```
data_Cr2Co5Mo
_cell_length_a 2.517
_cell_length_b 7.804
_cell_length_c 9.404
_cell_angle_alpha 90.00
_cell_angle_beta 90.00
_cell_angle_gamma 90.00
_space_group_name_H-M_alt 'I m m m'
_space_group_IT_number 71
_space_group_name_Hall '-I 2 2'
loop_
_atom_site_label
_atom_site_fract_x
_atom_site_fract_y
_atom_site_fract_z
_atom_site_occupancy
Cr1 0.000 0.000 0.248 1
Co1 0.000 0.000 0.500 1
Co2 0.000 0.270 0.134 1
Mo1 0.000 0.500 0.500 1
```

Most intense lines, 2θ = 15–90°, by angle:
42.3 deg, d = 2.135 Å, I = 19, (1 1 2)
43.9 deg, d = 2.064 Å, I = 88, (1 2 1)
45.0 deg, d = 2.014 Å, I = 100, (0 2 4)
46.3 deg, d = 1.963 Å, I = 49, (1 0 3)
46.5 deg, d = 1.951 Å, I = 42, (0 4 0)
61.6 deg, d = 1.507 Å, I = 11, (1 0 5)
67.7 deg, d = 1.384 Å, I = 25, (1 4 3)
85.7 deg, d = 1.134 Å, I = 17, (1 2 7)

***

Entry 14:
Computed PXRD pattern of Ba3Na3Ge8 for Cu Kα X-rays, from a cell relaxed with PBE.
No peak broadening, texture or thermal motion is included.

Structure:
```
data_Ba3Na3Ge8
_cell_length_a 4.278
_cell_length_b 11.810
_cell_length_c 15.047
_cell_angle_alpha 90.00
_cell_angle_beta 90.00
_cell_angle_gamma 90.00
_space_group_name_H-M_alt 'I m m m'
_space_group_IT_number 71
_space_group_name_Hall '-I 2 2'
loop_
_atom_site_label
_atom_site_fract_x
_atom_site_fract_y
_atom_site_fract_z
_atom_site_occupancy
Ba1 0.000 0.000 0.000 1
Ba2 0.000 0.000 0.285 1
Na1 0.000 0.200 0.500 1
Na2 0.000 0.500 0.000 1
Ge1 0.000 0.289 0.164 1
Ge2 0.000 0.341 0.341 1
```

Most intense lines, 2θ = 15–90°, by angle:
28.1 deg, d = 3.173 Å, I = 49, (0 2 4)
28.8 deg, d = 3.097 Å, I = 27, (0 3 3)
30.9 deg, d = 2.897 Å, I = 100, (1 3 0)
31.4 deg, d = 2.850 Å, I = 69, (1 2 3)
32.6 deg, d = 2.747 Å, I = 49, (1 1 4)
33.1 deg, d = 2.703 Å, I = 36, (1 3 2)
35.8 deg, d = 2.508 Å, I = 25, (0 0 6)
42.3 deg, d = 2.138 Å, I = 46, (2 0 0)